Theoretical X-ray powder pattern of Li3CrSiO5 for Cu Kα X-rays, from a structure optimized by DFT (PBE+U).
No peak broadening, texture or thermal motion is included.

Atomic structure:
abc: 4.9863 5.7801 6.4966
angles: 104.58 97.77 106.43
Space group P-1 (No. 2)
Inequivalent atoms, fractional coordinates:
Li 0.0000 0.0000 0.0000 x1
Li 0.0000 0.5000 0.0000 x1
Li 0.2019 0.4024 0.3979 x2
Li 0.3870 0.7989 0.8165 x2
Cr 0.1994 0.8961 0.3971 x2
Si 0.4041 0.3091 0.8083 x2
O 0.1224 0.9869 0.7083 x2
O 0.1275 0.4246 0.7061 x2
O 0.3349 0.8373 0.1232 x2
O 0.3364 0.3718 0.0823 x2
O 0.4931 0.2520 0.5364 x2

The 6 most intense peaks (5° ≤ 2θ ≤ 70°), in order of rising 2θ:
two_theta, Rel. int.
14.4, 16
16.8, 11
18.5, 100
44.3, 32
44.4, 31
44.7, 31

---

Theoretical X-ray powder pattern of Sm2MnSb2O for Cu Kα X-rays, from a structure optimized by DFT (PBE+U).
No peak broadening, texture or thermal motion is included.

Atomic structure:
abc: 3.4121 3.4121 16.2219
angles: 90.00 90.00 90.00
Space group P4/mmm (No. 123)
Inequivalent atoms, fractional coordinates:
Sm 0.0000 0.0000 0.1276 x2
Mn 0.0000 0.0000 0.5000 x1
Sb 0.0000 0.0000 0.3331 x2
O 0.0000 0.0000 0.0000 x1

The 6 most intense peaks (5° ≤ 2θ ≤ 70°), in order of rising 2θ:
two_theta, Rel. int.
21.9, 24
26.1, 100
34.3, 31
37.3, 39
38.3, 24
60.7, 18

---

Theoretical X-ray powder pattern of YReW2O8 for Cu Kα X-rays, from a structure optimized by DFT (PBE+U).
No peak broadening, texture or thermal motion is included.

Atomic structure:
abc: 5.2201 5.8337 6.1989
angles: 66.97 68.59 86.02
Space group P-1 (No. 2)
Inequivalent atoms, fractional coordinates:
Y 0.0000 0.0000 0.0000 x1
Re 0.5000 0.5000 0.0000 x1
W 0.2377 0.6618 0.5167 x2
O 0.1649 0.4813 0.2983 x2
O 0.2051 0.9588 0.2745 x2
O 0.2711 0.7286 0.8020 x2
O 0.3407 0.3069 0.6867 x2

The 6 most intense peaks (5° ≤ 2θ ≤ 70°), in order of rising 2θ:
two_theta, Rel. int.
16.6, 76
25.9, 100
29.0, 68
29.3, 84
30.1, 74
34.6, 44

---

Theoretical X-ray powder pattern of KMnGa2P3H4O14 for Cu Kα X-rays, from a structure optimized by DFT (PBE+U).
No peak broadening, texture or thermal motion is included.

Atomic structure:
abc: 13.7584 10.2178 8.9861
angles: 90.00 108.19 90.00
Space group C2/c (No. 15)
Inequivalent atoms, fractional coordinates:
K 0.0000 0.1390 0.2500 x4
Mn 0.0000 0.2186 0.7500 x4
Ga 0.1705 0.4259 0.5681 x8
P 0.0000 0.4962 0.2500 x4
P 0.2104 0.1259 0.6792 x8
H 0.1478 0.2709 0.0535 x8
H 0.1515 0.1213 0.0066 x8
O 0.0606 0.4027 0.3822 x8
O 0.0692 0.4078 0.6939 x8
O 0.1032 0.0957 0.6845 x8
O 0.1054 0.1972 0.9955 x8
O 0.2062 0.4088 0.1605 x8
O 0.2274 0.0447 0.5429 x8
O 0.2337 0.2730 0.6627 x8

The 6 most intense peaks (5° ≤ 2θ ≤ 70°), in order of rising 2θ:
two_theta, Rel. int.
11.0, 56
16.5, 93
26.2, 37
28.3, 100
28.8, 91
33.0, 33

---

Q: Number 3 is which compound?
A: YReW2O8